Record 1
This entry pairs a crystal structure of BaBeZnN2 with its calculated powder XRD pattern. Radiation: Cu Kα (λ = 1.5418 Å). Structure: a structure optimized by DFT (PBE).
Peak positions follow from Bragg's law for the DFT cell and can differ from measured ones.

Structural model:
a = 5.9559 Å, b = 4.4105 Å, c = 5.9975 Å
α = 90.00°, β = 103.94°, γ = 90.00°
Fractional coordinates of all 10 atoms:
Ba 0.0000 0.2431 0.2500
Ba 0.0000 0.7569 0.7500
Be 0.5000 0.0000 0.0000
Be 0.5000 0.0000 0.5000
Zn 0.5000 0.4778 0.7500
Zn 0.5000 0.5222 0.2500
N 0.3109 0.2522 0.9596
N 0.3109 0.7478 0.4596
N 0.6891 0.2522 0.5404
N 0.6891 0.7478 0.0404

Principal peaks in the range 2θ from 10° to 80°, most intense first:
| d (Å) | 2θ (°) | I/Imax |
| --- | --- | --- |
| 3.513 | 25.35 | 100 |
| 2.826 | 31.66 | 91 |
| 2.891 | 30.93 | 73 |
| 3.219 | 27.72 | 62 |
| 2.910 | 30.72 | 51 |
| 2.060 | 43.94 | 50 |
| 2.411 | 37.29 | 42 |
| 2.354 | 38.24 | 40 |

---

Record 2
This entry pairs a crystal structure of Y2FeAg with its calculated powder XRD pattern. Radiation: Cu Kα (λ = 1.5418 Å). Structure: a structure optimized by DFT (PBE).
Peak positions follow from Bragg's law for the DFT cell and can differ from measured ones.

Structural model:
a = 3.3665 Å, b = 3.3905 Å, c = 7.4964 Å
α = 90.00°, β = 90.00°, γ = 90.00°
Fractional coordinates of all 4 atoms:
Y 0.0000 0.0000 0.2177
Y 0.0000 0.0000 0.7823
Fe 0.5000 0.5000 0.0000
Ag 0.5000 0.5000 0.5000

Principal peaks in the range 2θ from 10° to 80°, most intense first:
| d (Å) | 2θ (°) | I/Imax |
| --- | --- | --- |
| 2.504 | 35.86 | 100 |
| 2.514 | 35.71 | 91 |
| 2.389 | 37.65 | 86 |
| 1.404 | 66.62 | 30 |
| 1.399 | 66.89 | 27 |
| 1.475 | 63.04 | 25 |
| 1.695 | 54.10 | 14 |
| 1.874 | 48.58 | 14 |

---

Record 3
This entry pairs a crystal structure of Pa4CuSi8 with its calculated powder XRD pattern. Radiation: Cu Kα (λ = 1.5418 Å). Structure: a structure optimized by DFT (PBE).
Peak positions follow from Bragg's law for the DFT cell and can differ from measured ones.

Structural model:
a = 3.8985 Å, b = 3.9801 Å, c = 16.0128 Å
α = 90.00°, β = 90.00°, γ = 90.00°
Fractional coordinates of all 13 atoms:
Pa 0.0000 0.0000 0.0000
Pa 0.0000 0.5000 0.4915
Pa 0.5000 0.0000 0.2098
Pa 0.5000 0.5000 0.7005
Cu 0.5000 0.5000 0.9218
Si 0.0000 0.0000 0.3513
Si 0.0000 0.0000 0.6410
Si 0.0000 0.5000 0.1510
Si 0.0000 0.5000 0.8401
Si 0.5000 0.0000 0.5514
Si 0.5000 0.0000 0.8407
Si 0.5000 0.5000 0.0671
Si 0.5000 0.5000 0.3506

Principal peaks in the range 2θ from 10° to 80°, most intense first:
| d (Å) | 2θ (°) | I/Imax |
| --- | --- | --- |
| 2.469 | 36.39 | 100 |
| 3.505 | 25.41 | 69 |
| 3.863 | 23.03 | 50 |
| 2.495 | 35.99 | 46 |
| 2.744 | 32.64 | 37 |
| 4.003 | 22.21 | 33 |
| 1.781 | 51.30 | 22 |
| 2.202 | 40.98 | 22 |

---

Record 4
This entry pairs a crystal structure of Tm5ZrTl3 with its calculated powder XRD pattern. Radiation: Cu Kα (λ = 1.5418 Å). Structure: a structure optimized by DFT (PBE).
Peak positions follow from Bragg's law for the DFT cell and can differ from measured ones.

Structural model:
a = 9.1702 Å, b = 9.1702 Å, c = 6.5549 Å
α = 90.00°, β = 90.00°, γ = 120.00°
Fractional coordinates of all 18 atoms:
Tm 0.0000 0.3129 0.2500
Tm 0.0000 0.6871 0.7500
Tm 0.3129 0.0000 0.2500
Tm 0.3129 0.3129 0.7500
Tm 0.3333 0.6667 0.0000
Tm 0.3333 0.6667 0.5000
Tm 0.6667 0.3333 0.0000
Tm 0.6667 0.3333 0.5000
Tm 0.6871 0.0000 0.7500
Tm 0.6871 0.6871 0.2500
Zr 0.0000 0.0000 0.0000
Zr 0.0000 0.0000 0.5000
Tl 0.0000 0.3483 0.7500
Tl 0.0000 0.6517 0.2500
Tl 0.3483 0.0000 0.7500
Tl 0.3483 0.3483 0.2500
Tl 0.6517 0.0000 0.2500
Tl 0.6517 0.6517 0.7500

Principal peaks in the range 2θ from 10° to 80°, most intense first:
| d (Å) | 2θ (°) | I/Imax |
| --- | --- | --- |
| 2.647 | 33.86 | 100 |
| 2.666 | 33.61 | 87 |
| 1.393 | 67.18 | 31 |
| 1.879 | 48.46 | 30 |
| 1.532 | 60.42 | 30 |
| 2.059 | 43.97 | 18 |
| 1.528 | 60.58 | 17 |
| 3.277 | 27.21 | 12 |

---

Record 5
This entry pairs a crystal structure of Nd2TmP2N6 with its calculated powder XRD pattern. Radiation: Cu Kα (λ = 1.5418 Å). Structure: a structure optimized by DFT (PBE).
Peak positions follow from Bragg's law for the DFT cell and can differ from measured ones.

Structural model:
a = 5.7031 Å, b = 5.7031 Å, c = 6.0183 Å
α = 90.00°, β = 90.00°, γ = 120.00°
Fractional coordinates of all 11 atoms:
Nd 0.3333 0.6667 0.3452
Nd 0.6667 0.3333 0.6548
Tm 0.0000 0.0000 0.0000
P 0.3333 0.6667 0.8233
P 0.6667 0.3333 0.1767
N 0.0871 0.3673 0.7650
N 0.2802 0.9129 0.7650
N 0.3673 0.2802 0.2350
N 0.6327 0.7198 0.7650
N 0.7198 0.0871 0.2350
N 0.9129 0.6327 0.2350

Principal peaks in the range 2θ from 10° to 80°, most intense first:
| d (Å) | 2θ (°) | I/Imax |
| --- | --- | --- |
| 3.818 | 23.30 | 100 |
| 2.852 | 31.37 | 76 |
| 2.570 | 34.91 | 66 |
| 2.285 | 39.44 | 33 |
| 1.586 | 58.15 | 29 |
| 1.783 | 51.24 | 28 |
| 1.909 | 47.64 | 27 |
| 1.641 | 56.05 | 20 |

---

Record 6
This entry pairs a crystal structure of PaReRu2 with its calculated powder XRD pattern. Radiation: Cu Kα (λ = 1.5418 Å). Structure: a structure optimized by DFT (PBE).
Peak positions follow from Bragg's law for the DFT cell and can differ from measured ones.

Structural model:
a = 4.1194 Å, b = 4.1194 Å, c = 3.9766 Å
α = 90.00°, β = 90.00°, γ = 90.00°
Fractional coordinates of all 4 atoms:
Pa 0.0000 0.0000 0.0000
Re 0.5000 0.5000 0.0000
Ru 0.0000 0.5000 0.5000
Ru 0.5000 0.0000 0.5000

Principal peaks in the range 2θ from 10° to 80°, most intense first:
| d (Å) | 2θ (°) | I/Imax |
| --- | --- | --- |
| 2.350 | 38.30 | 100 |
| 2.060 | 43.96 | 34 |
| 1.238 | 77.03 | 26 |
| 1.431 | 65.22 | 21 |
| 1.988 | 45.63 | 15 |
| 1.206 | 79.43 | 12 |
| 1.456 | 63.92 | 11 |
| 3.977 | 22.36 | 10 |

---

Record 7
This entry pairs a crystal structure of SrCu6O4 with its calculated powder XRD pattern. Radiation: Cu Kα (λ = 1.5418 Å). Structure: a structure optimized by DFT (PBE).
Peak positions follow from Bragg's law for the DFT cell and can differ from measured ones.

Structural model:
a = 5.9435 Å, b = 5.9435 Å, c = 5.9435 Å
α = 112.12°, β = 112.12°, γ = 104.30°
Fractional coordinates of all 11 atoms:
Sr 0.0000 0.0000 0.0000
Cu 0.0000 0.5000 0.5000
Cu 0.0119 0.5053 0.0000
Cu 0.4947 0.4947 0.5066
Cu 0.5000 0.0000 0.5000
Cu 0.5053 0.0119 0.0000
Cu 0.9881 0.9881 0.4934
O 0.2500 0.2500 0.5177
O 0.2678 0.7500 0.0000
O 0.7322 0.7322 0.4823
O 0.7500 0.2678 0.0000

Principal peaks in the range 2θ from 10° to 80°, most intense first:
| d (Å) | 2θ (°) | I/Imax |
| --- | --- | --- |
| 2.454 | 36.61 | 100 |
| 2.346 | 38.36 | 74 |
| 1.375 | 68.23 | 31 |
| 1.440 | 64.74 | 27 |
| 1.659 | 55.37 | 23 |
| 4.909 | 18.07 | 22 |
| 1.824 | 50.02 | 16 |
| 1.227 | 77.83 | 15 |

---

Record 8
This entry pairs a crystal structure of U11Ni16 with its calculated powder XRD pattern. Radiation: Cu Kα (λ = 1.5418 Å). Structure: a structure optimized by DFT (PBE).
Peak positions follow from Bragg's law for the DFT cell and can differ from measured ones.

Structural model:
a = 9.6291 Å, b = 9.6291 Å, c = 9.6291 Å
α = 75.00°, β = 75.00°, γ = 75.00°
Fractional coordinates of all 54 atoms:
U 0.0717 0.0717 0.0717
U 0.0770 0.3842 0.9141
U 0.0859 0.9230 0.6158
U 0.0876 0.5526 0.3746
U 0.2216 0.6468 0.5556
U 0.3060 0.3060 0.3060
U 0.3532 0.4444 0.7784
U 0.3746 0.0876 0.5526
U 0.3842 0.9141 0.0770
U 0.4444 0.7784 0.3532
U 0.4474 0.6254 0.9124
U 0.5526 0.3746 0.0876
U 0.5556 0.2216 0.6468
U 0.6158 0.0859 0.9230
U 0.6254 0.9124 0.4474
U 0.6468 0.5556 0.2216
U 0.6940 0.6940 0.6940
U 0.7784 0.3532 0.4444
U 0.9124 0.4474 0.6254
U 0.9141 0.0770 0.3842
U 0.9230 0.6158 0.0859
U 0.9283 0.9283 0.9283
Ni 0.0587 0.3176 0.2252
Ni 0.0740 0.2277 0.4922
Ni 0.0855 0.1519 0.7566
Ni 0.1487 0.8343 0.3133
Ni 0.1519 0.7566 0.0855
Ni 0.1657 0.6867 0.8513
Ni 0.2201 0.3460 0.6127
Ni 0.2252 0.0587 0.3176
Ni 0.2277 0.4922 0.0740
Ni 0.2434 0.9145 0.8481
Ni 0.3133 0.1487 0.8343
Ni 0.3176 0.2252 0.0587
Ni 0.3460 0.6127 0.2201
Ni 0.3873 0.7799 0.6540
Ni 0.4381 0.4381 0.4381
Ni 0.4922 0.0740 0.2277
Ni 0.5078 0.9260 0.7723
Ni 0.5619 0.5619 0.5619
Ni 0.6127 0.2201 0.3460
Ni 0.6540 0.3873 0.7799
Ni 0.6824 0.7748 0.9413
Ni 0.6867 0.8513 0.1657
Ni 0.7566 0.0855 0.1519
Ni 0.7723 0.5078 0.9260
Ni 0.7748 0.9413 0.6824
Ni 0.7799 0.6540 0.3873
Ni 0.8343 0.3133 0.1487
Ni 0.8481 0.2434 0.9145
Ni 0.8513 0.1657 0.6867
Ni 0.9145 0.8481 0.2434
Ni 0.9260 0.7723 0.5078
Ni 0.9413 0.6824 0.7748

Principal peaks in the range 2θ from 10° to 80°, most intense first:
| d (Å) | 2θ (°) | I/Imax |
| --- | --- | --- |
| 2.215 | 40.73 | 100 |
| 2.134 | 42.35 | 81 |
| 3.595 | 24.77 | 53 |
| 2.331 | 38.62 | 39 |
| 2.272 | 39.66 | 36 |
| 2.323 | 38.77 | 34 |
| 1.263 | 75.24 | 19 |
| 3.809 | 23.35 | 16 |

---

Record 9
This entry pairs a crystal structure of Mg2FePd8 with its calculated powder XRD pattern. Radiation: Cu Kα (λ = 1.5418 Å). Structure: a structure optimized by DFT (PBE).
Peak positions follow from Bragg's law for the DFT cell and can differ from measured ones.

Structural model:
a = 7.2525 Å, b = 7.2525 Å, c = 7.2525 Å
α = 145.90°, β = 125.02°, γ = 66.30°
Fractional coordinates of all 11 atoms:
Mg 0.1986 0.1986 0.0000
Mg 0.8014 0.8014 0.0000
Fe 0.5000 0.5000 0.0000
Pd 0.0709 0.3527 0.7182
Pd 0.2039 0.0000 0.2039
Pd 0.3473 0.8473 0.5000
Pd 0.3654 0.6473 0.7182
Pd 0.6346 0.3527 0.2818
Pd 0.6527 0.1527 0.5000
Pd 0.7961 0.0000 0.7961
Pd 0.9291 0.6473 0.2818

Principal peaks in the range 2θ from 10° to 80°, most intense first:
| d (Å) | 2θ (°) | I/Imax |
| --- | --- | --- |
| 2.206 | 40.91 | 100 |
| 2.127 | 42.51 | 29 |
| 2.318 | 38.85 | 22 |
| 2.932 | 30.49 | 17 |
| 2.024 | 44.78 | 17 |
| 2.195 | 41.12 | 15 |
| 1.243 | 76.70 | 15 |
| 1.466 | 63.45 | 13 |

---

Record 10
This entry pairs a crystal structure of LiGa4Ni5 with its calculated powder XRD pattern. Radiation: Cu Kα (λ = 1.5418 Å). Structure: a structure optimized by DFT (PBE).
Peak positions follow from Bragg's law for the DFT cell and can differ from measured ones.

Structural model:
a = 2.8917 Å, b = 3.0008 Å, c = 14.0327 Å
α = 90.00°, β = 90.00°, γ = 90.00°
Fractional coordinates of all 10 atoms:
Li 0.0000 0.0000 0.0000
Ga 0.0000 0.0000 0.1918
Ga 0.0000 0.0000 0.3976
Ga 0.0000 0.0000 0.6024
Ga 0.0000 0.0000 0.8082
Ni 0.5000 0.5000 0.0985
Ni 0.5000 0.5000 0.2963
Ni 0.5000 0.5000 0.5000
Ni 0.5000 0.5000 0.7037
Ni 0.5000 0.5000 0.9015

Principal peaks in the range 2θ from 10° to 80°, most intense first:
| d (Å) | 2θ (°) | I/Imax |
| --- | --- | --- |
| 2.082 | 43.46 | 100 |
| 2.050 | 44.18 | 93 |
| 2.014 | 45.01 | 88 |
| 1.203 | 79.69 | 30 |
| 1.500 | 61.84 | 17 |
| 1.446 | 64.45 | 15 |
| 1.403 | 66.65 | 12 |
| 7.016 | 12.62 | 11 |

---

Record 11
This entry pairs a crystal structure of Sc4SiO with its calculated powder XRD pattern. Radiation: Cu Kα (λ = 1.5418 Å). Structure: a structure optimized by DFT (PBE).
Peak positions follow from Bragg's law for the DFT cell and can differ from measured ones.

Structural model:
a = 6.7940 Å, b = 6.7940 Å, c = 6.7940 Å
α = 106.80°, β = 106.80°, γ = 114.96°
Fractional coordinates of all 12 atoms:
Sc 0.1282 0.4401 0.6881
Sc 0.1901 0.0021 0.8119
Sc 0.1901 0.3782 0.1881
Sc 0.2948 0.0000 0.2948
Sc 0.7052 0.0000 0.7052
Sc 0.7500 0.5448 0.7948
Sc 0.7500 0.9552 0.2052
Sc 0.7521 0.4401 0.3119
Si 0.2324 0.7324 0.5000
Si 0.4824 0.4824 0.0000
O 0.7082 0.2082 0.5000
O 0.9582 0.9582 0.0000

Principal peaks in the range 2θ from 10° to 80°, most intense first:
| d (Å) | 2θ (°) | I/Imax |
| --- | --- | --- |
| 2.713 | 33.02 | 100 |
| 2.562 | 35.03 | 42 |
| 1.692 | 54.20 | 32 |
| 4.051 | 21.94 | 30 |
| 2.097 | 43.13 | 30 |
| 2.864 | 31.23 | 23 |
| 2.025 | 44.75 | 22 |
| 1.389 | 67.40 | 12 |

---

Record 12
This entry pairs a crystal structure of NbVTe2 with its calculated powder XRD pattern. Radiation: Cu Kα (λ = 1.5418 Å). Structure: a structure optimized by DFT (PBE).
Peak positions follow from Bragg's law for the DFT cell and can differ from measured ones.

Structural model:
a = 7.1985 Å, b = 4.1122 Å, c = 12.2205 Å
α = 90.00°, β = 90.00°, γ = 90.00°
Fractional coordinates of all 16 atoms:
Nb 0.0215 0.2500 0.0805
Nb 0.4785 0.7500 0.5805
Nb 0.5215 0.2500 0.4195
Nb 0.9785 0.7500 0.9195
V 0.1026 0.2500 0.5201
V 0.3974 0.7500 0.0201
V 0.6026 0.2500 0.9799
V 0.8974 0.7500 0.4799
Te 0.1186 0.7500 0.6721
Te 0.2474 0.2500 0.8921
Te 0.2526 0.7500 0.3921
Te 0.3814 0.2500 0.1721
Te 0.6186 0.7500 0.8279
Te 0.7474 0.2500 0.6079
Te 0.7526 0.7500 0.1079
Te 0.8814 0.2500 0.3279

Principal peaks in the range 2θ from 10° to 80°, most intense first:
| d (Å) | 2θ (°) | I/Imax |
| --- | --- | --- |
| 2.685 | 33.37 | 100 |
| 3.427 | 26.00 | 94 |
| 2.255 | 39.98 | 84 |
| 2.321 | 38.79 | 84 |
| 2.233 | 40.38 | 64 |
| 2.056 | 44.04 | 64 |
| 2.644 | 33.90 | 58 |
| 2.476 | 36.28 | 49 |